Starting from a GGA+U-relaxed structure, the powder XRD pattern of SrLa3Mn3CrO12 was simulated for Cu Kα.
Kinematic intensities with the Lorentz-polarization factor, no thermal factor.

Top 10 peaks for 5 to 70 degrees two-theta, sorted by position:
| 2theta | d/Å | I/Imax |
| --- | --- | --- |
| 22.6 | 3.935 | 24.6 |
| 32.0 | 2.800 | 97.6 |
| 32.4 | 2.766 | 100.0 |
| 39.5 | 2.281 | 24.6 |
| 46.1 | 1.968 | 62.2 |
| 57.0 | 1.616 | 23.3 |
| 57.2 | 1.610 | 40.3 |
| 58.0 | 1.591 | 18.6 |
| 66.8 | 1.400 | 16.5 |
| 67.8 | 1.383 | 17.7 |

Atomic structure:
```
SrLa3Mn3CrO12
1.0
2.800 1.616 8.979
-2.800 1.616 8.979
0.000 -3.233 8.979
Sr La Mn Cr O
1 3 3 1 12
direct
0.000 0.000 0.000
0.252 0.252 0.252
0.501 0.501 0.501
0.748 0.748 0.748
0.125 0.125 0.125
0.375 0.375 0.375
0.625 0.625 0.625
0.875 0.875 0.875
0.070 0.933 0.497
0.186 0.314 0.758
0.256 0.675 0.813
0.314 0.758 0.186
0.456 0.990 0.551
0.497 0.070 0.933
0.551 0.456 0.990
0.675 0.813 0.256
0.758 0.186 0.314
0.813 0.256 0.675
0.933 0.497 0.070
0.990 0.551 0.456
```